[1]
For TiAgSe2, a structure optimized by DFT (PBE) gives the theoretical powder XRD pattern in this record (Cu Kα).
Neutral-atom scattering factors, no anomalous dispersion.

Structural model:
```
data_TiAgSe2
_cell_length_a 3.6917
_cell_length_b 3.6917
_cell_length_c 22.1244
_cell_angle_alpha 90.00
_cell_angle_beta 90.00
_cell_angle_gamma 120.00
_space_group_name_H-M_alt 'R 3 m'
_space_group_IT_number 160
_space_group_name_Hall 'R 3 -2"'
loop_
_atom_site_label
_atom_site_type_symbol
_atom_site_fract_x
_atom_site_fract_y
_atom_site_fract_z
_atom_site_occupancy
Ti1 Ti 0.0000 0.0000 0.0000 1
Ag1 Ag 0.0000 0.0000 0.1508 1
Se1 Se 0.0000 0.0000 0.2660 1
Se2 Se 0.0000 0.0000 0.7365 1
```

The 6 most intense peaks (10° ≤ 2θ ≤ 90°), by angle:
- 3.164 Å, 28.2 deg, intensity 62, (1 0 1)
- 3.071 Å, 29.1 deg, intensity 100, (0 1 2)
- 2.768 Å, 32.3 deg, intensity 36, (1 0 4)
- 2.248 Å, 40.1 deg, intensity 83, (1 0 7)
- 2.092 Å, 43.3 deg, intensity 53, (0 1 8)
- 1.846 Å, 49.4 deg, intensity 79, (1 1 0)

[2]
For Sr3Ga2Cl2O5, a structure optimized by DFT (PBE) gives the theoretical powder XRD pattern in this record (Cu Kα).
Neutral-atom scattering factors, no anomalous dispersion.

Structural model:
```
data_Sr3Ga2Cl2O5
_cell_length_a 9.668
_cell_length_b 9.670
_cell_length_c 9.679
_cell_angle_alpha 90.00
_cell_angle_beta 90.00
_cell_angle_gamma 90.00
_space_group_name_H-M_alt 'P 21 21 21'
_space_group_IT_number 19
_space_group_name_Hall 'P 2ac 2ab'
loop_
_atom_site_label
_atom_site_type_symbol
_atom_site_fract_x
_atom_site_fract_y
_atom_site_fract_z
_atom_site_occupancy
Sr1 Sr 0.021 0.246 0.333 1
Sr2 Sr 0.166 0.022 0.733 1
Sr3 Sr 0.216 0.666 0.501 1
Ga1 Ga 0.144 0.656 0.843 1
Ga2 Ga 0.158 0.353 0.645 1
Cl1 Cl 0.027 0.921 0.437 1
Cl2 Cl 0.086 0.034 0.051 1
O1 O 0.025 0.220 0.590 1
O2 O 0.088 0.514 0.723 1
O3 O 0.222 0.741 0.257 1
O4 O 0.231 0.411 0.474 1
O5 O 0.241 0.779 0.738 1
```

The 6 most intense peaks (10° ≤ 2θ ≤ 90°), by angle:
- 3.949 Å, 22.5 deg, intensity 35, (1 2 1)
- 3.059 Å, 29.2 deg, intensity 100, (0 1 3)
- 2.585 Å, 34.7 deg, intensity 81, (1 2 3)
- 2.163 Å, 41.8 deg, intensity 19, (2 0 4)
- 1.897 Å, 48.0 deg, intensity 23, (1 4 3)
- 1.569 Å, 58.9 deg, intensity 27, (2 5 3)

[3]
For Mg16TaAl12, a structure optimized by DFT (PBE) gives the theoretical powder XRD pattern in this record (Cu Kα).
Neutral-atom scattering factors, no anomalous dispersion.

Structural model:
```
data_Mg16TaAl12
_cell_length_a 14.7455
_cell_length_b 14.7455
_cell_length_c 9.1002
_cell_angle_alpha 90.00
_cell_angle_beta 90.00
_cell_angle_gamma 120.00
_space_group_name_H-M_alt 'R 3 m'
_space_group_IT_number 160
_space_group_name_Hall 'R 3 -2"'
loop_
_atom_site_label
_atom_site_type_symbol
_atom_site_fract_x
_atom_site_fract_y
_atom_site_fract_z
_atom_site_occupancy
Mg1 Mg 0.0000 0.0000 0.0000 1
Mg2 Mg 0.0364 0.3608 0.3604 1
Mg3 Mg 0.1031 0.5515 0.5509 1
Mg4 Mg 0.1042 0.2083 0.4916 1
Mg5 Mg 0.2005 0.4009 0.1168 1
Ta1 Ta 0.0000 0.0000 0.3314 1
Al1 Al 0.0009 0.1802 0.1875 1
Al2 Al 0.1232 0.0616 0.6906 1
Al3 Al 0.2108 0.4216 0.6021 1
```

The 6 most intense peaks (10° ≤ 2θ ≤ 90°), by angle:
- 7.390 Å, 12.0 deg, intensity 98, (1 1 0)
- 4.262 Å, 20.8 deg, intensity 33, (3 0 0)
- 3.306 Å, 27.0 deg, intensity 26, (1 2 2)
- 2.470 Å, 36.4 deg, intensity 60, (3 0 3)
- 2.460 Å, 36.5 deg, intensity 100, (3 3 0)
- 2.224 Å, 40.6 deg, intensity 34, (5 1 1)

[4]
For K2NaPrI6, a structure optimized by DFT (PBE) gives the theoretical powder XRD pattern in this record (Cu Kα).
Neutral-atom scattering factors, no anomalous dispersion.

Structural model:
```
data_K2NaPrI6
_cell_length_a 12.486
_cell_length_b 12.486
_cell_length_c 12.486
_cell_angle_alpha 90.00
_cell_angle_beta 90.00
_cell_angle_gamma 90.00
_space_group_name_H-M_alt 'F m -3 m'
_space_group_IT_number 225
_space_group_name_Hall '-F 4 2 3'
loop_
_atom_site_label
_atom_site_type_symbol
_atom_site_fract_x
_atom_site_fract_y
_atom_site_fract_z
_atom_site_occupancy
K1 K 0.250 0.250 0.250 1
Na1 Na 0.000 0.000 0.000 1
Pr1 Pr 0.000 0.000 0.500 1
I1 I 0.000 0.000 0.250 1
```

The 6 most intense peaks (10° ≤ 2θ ≤ 90°), by angle:
- 6.243 Å, 14.2 deg, intensity 58, (2 0 0)
- 3.604 Å, 24.7 deg, intensity 87, (2 2 2)
- 3.121 Å, 28.6 deg, intensity 100, (4 0 0)
- 2.207 Å, 40.9 deg, intensity 75, (4 4 0)
- 1.882 Å, 48.4 deg, intensity 40, (6 2 2)
- 1.396 Å, 67.0 deg, intensity 34, (8 4 0)